Calculated X-ray diffraction stick pattern of Er2Sc6Pb for a wavelength of 1.5418 Å, from a crystal structure in Alexandria, relaxed with PBE.
Intensities are scaled so that the largest is 100.

Peak list (10 most intense, 2θ from 10° to 90°, by intensity)
2θ = 24.97°, I 100; 2θ = 35.60°, I 58; 2θ = 43.97°, I 41; 2θ = 51.23°, I 38; 2θ = 29.36°, I 31; 2θ = 30.70°, I 27; 2θ = 69.76°, I 27; 2θ = 57.81°, I 25; 2θ = 38.91°, I 25; 2θ = 15.21°, I 21

Crystal structure
```
Er2Sc6Pb
1.0
0.000 5.044 5.044
5.044 0.000 5.044
5.044 5.044 0.000
Er Sc Pb
2 6 1
Direct
0.250 0.250 0.250 Er
0.750 0.750 0.750 Er
0.218 0.218 0.782 Sc
0.218 0.782 0.218 Sc
0.218 0.782 0.782 Sc
0.782 0.218 0.218 Sc
0.782 0.218 0.782 Sc
0.782 0.782 0.218 Sc
0.500 0.500 0.500 Pb
```

Calculated X-ray diffraction stick pattern of Cd3Pt for a wavelength of 1.5418 Å, from a crystal structure in Alexandria, relaxed with PBE.
Intensities are scaled so that the largest is 100.

Peak list (10 most intense, 2θ from 10° to 90°, by intensity)
2θ = 37.64°, I 100; 2θ = 39.74°, I 58; 2θ = 17.50°, I 41; 2θ = 66.51°, I 25; 2θ = 21.47°, I 23; 2θ = 35.41°, I 22; 2θ = 50.99°, I 16; 2θ = 76.27°, I 15; 2θ = 54.27°, I 14; 2θ = 52.63°, I 11

Crystal structure
```
Cd3Pt
1.0
7.174 0.000 0.000
0.000 7.174 0.000
0.000 0.000 7.162
Cd Pt
12 4
Direct
0.000 0.500 0.000 Cd
0.000 0.500 0.500 Cd
0.159 0.159 0.245 Cd
0.159 0.159 0.755 Cd
0.341 0.659 0.255 Cd
0.341 0.659 0.745 Cd
0.500 0.000 0.000 Cd
0.500 0.000 0.500 Cd
0.659 0.341 0.255 Cd
0.659 0.341 0.745 Cd
0.841 0.841 0.245 Cd
0.841 0.841 0.755 Cd
0.138 0.862 0.500 Pt
0.362 0.362 0.000 Pt
0.638 0.638 0.000 Pt
0.862 0.138 0.500 Pt
```

Calculated X-ray diffraction stick pattern of Y2HoMg8 for a wavelength of 1.5418 Å, from a crystal structure in Alexandria, relaxed with PBE.
Intensities are scaled so that the largest is 100.

Peak list (10 most intense, 2θ from 10° to 90°, by intensity)
2θ = 33.44°, I 100; 2θ = 21.49°, I 30; 2θ = 35.64°, I 23; 2θ = 38.62°, I 19; 2θ = 19.96°, I 19; 2θ = 14.32°, I 18; 2θ = 62.62°, I 16; 2θ = 31.68°, I 15; 2θ = 25.01°, I 14; 2θ = 23.58°, I 14

Crystal structure
```
Y2HoMg8
1.0
7.965 -2.519 0.000
7.965 2.519 0.000
-2.336 0.000 6.938
Y Ho Mg
2 1 8
Direct
0.222 0.222 0.141 Y
0.778 0.778 0.859 Y
0.500 0.500 0.500 Ho
0.026 0.026 0.218 Mg
0.141 0.141 0.651 Mg
0.324 0.324 0.606 Mg
0.411 0.411 0.037 Mg
0.589 0.589 0.963 Mg
0.676 0.676 0.394 Mg
0.859 0.859 0.349 Mg
0.974 0.974 0.782 Mg
```

Calculated X-ray diffraction stick pattern of Nd2YErTm6 for a wavelength of 1.5418 Å, from a crystal structure in Alexandria, relaxed with PBE.
Intensities are scaled so that the largest is 100.

Peak list (10 most intense, 2θ from 10° to 90°, by intensity)
2θ = 30.99°, I 100; 2θ = 32.09°, I 91; 2θ = 33.78°, I 89; 2θ = 31.57°, I 73; 2θ = 30.71°, I 66; 2θ = 31.83°, I 51; 2θ = 28.92°, I 47; 2θ = 34.40°, I 22; 2θ = 51.18°, I 22; 2θ = 32.52°, I 21

Crystal structure
```
Nd2YErTm6
1.0
4.466 -7.482 0.000
4.466 7.482 0.000
-1.487 0.000 9.481
Nd Y Er Tm
4 2 2 12
Direct
0.194 0.301 0.043 Nd
0.301 0.194 0.543 Nd
0.699 0.806 0.457 Nd
0.806 0.699 0.957 Nd
0.018 0.982 0.250 Y
0.982 0.018 0.750 Y
0.407 0.593 0.750 Er
0.593 0.407 0.250 Er
0.023 0.576 0.187 Tm
0.127 0.744 0.558 Tm
0.256 0.873 0.942 Tm
0.291 0.502 0.381 Tm
0.424 0.977 0.313 Tm
0.498 0.709 0.119 Tm
0.502 0.291 0.881 Tm
0.576 0.023 0.687 Tm
0.709 0.498 0.619 Tm
0.744 0.127 0.058 Tm
0.873 0.256 0.442 Tm
0.977 0.424 0.813 Tm
```

Calculated X-ray diffraction stick pattern of Li4Pm5Au4 for a wavelength of 1.5418 Å, from a crystal structure in Alexandria, relaxed with PBE.
Intensities are scaled so that the largest is 100.

Peak list (10 most intense, 2θ from 10° to 90°, by intensity)
2θ = 27.01°, I 100; 2θ = 37.38°, I 95; 2θ = 34.24°, I 86; 2θ = 30.81°, I 82; 2θ = 32.91°, I 77; 2θ = 10.28°, I 40; 2θ = 43.35°, I 39; 2θ = 43.59°, I 36; 2θ = 65.83°, I 36; 2θ = 55.68°, I 35

Crystal structure
```
Li4Pm5Au4
1.0
-6.085 6.085 2.076
6.085 -6.085 2.076
6.085 6.085 -2.076
Li Pm Au
4 5 4
Direct
0.075 0.403 0.478 Li
0.403 0.925 0.328 Li
0.597 0.075 0.672 Li
0.925 0.597 0.522 Li
0.124 0.789 0.913 Pm
0.211 0.124 0.335 Pm
0.500 0.500 0.000 Pm
0.789 0.876 0.665 Pm
0.876 0.211 0.087 Pm
0.244 0.565 0.809 Au
0.435 0.244 0.679 Au
0.565 0.756 0.321 Au
0.756 0.435 0.191 Au
```

Calculated X-ray diffraction stick pattern of Nd2HfC for a wavelength of 1.5418 Å, from a crystal structure in Alexandria, relaxed with PBE.
Intensities are scaled so that the largest is 100.

Peak list (10 most intense, 2θ from 10° to 90°, by intensity)
2θ = 29.68°, I 100; 2θ = 38.94°, I 67; 2θ = 27.98°, I 53; 2θ = 60.41°, I 37; 2θ = 52.36°, I 32; 2θ = 30.18°, I 32; 2θ = 36.92°, I 30; 2θ = 43.46°, I 28; 2θ = 63.06°, I 17; 2θ = 81.78°, I 15

Crystal structure
```
Nd2HfC
1.0
3.494 0.000 0.000
-1.747 3.026 0.000
0.000 0.000 28.698
Nd Hf C
6 3 3
Direct
0.000 0.000 0.116 Nd
0.000 0.000 0.884 Nd
0.333 0.667 0.551 Nd
0.333 0.667 0.783 Nd
0.667 0.333 0.217 Nd
0.667 0.333 0.449 Nd
0.000 0.000 0.000 Hf
0.333 0.667 0.667 Hf
0.667 0.333 0.333 Hf
0.000 0.000 0.500 C
0.333 0.667 0.167 C
0.667 0.333 0.833 C
```